[1]
Diffraction record for Li2InAu. The powder XRD pattern is theoretical, not measured: it uses a DFT-relaxed cell (PBE, the Materials Project) and Cu Kα (λ = 1.5418 Å).
Intensities are scaled so that the largest is 100.

Peak list (10 most intense, 2θ = 10–90°, by angle)
d/Å, 2θ/deg, I/Imax
3.782, 23.52, 100
3.275, 27.23, 7
2.316, 38.89, 88
1.975, 45.95, 52
1.638, 56.17, 15
1.503, 61.73, 21
1.337, 70.42, 31
1.261, 75.40, 16
1.158, 83.48, 10
1.107, 88.25, 17

Atomic structure:
Cell lengths 4.632, 4.632, 4.632 Å; angles 60.00, 60.00, 60.00 degrees
Fractional positions:
Li (0.000, 0.000, 0.000)
Li (0.250, 0.250, 0.250)
In (0.750, 0.750, 0.750)
Au (0.500, 0.500, 0.500)

***

[2]
Diffraction record for BaMnSb2. The powder XRD pattern is theoretical, not measured: it uses a DFT-relaxed cell (PBE, the Materials Project) and Cu Kα (λ = 1.5418 Å).
Intensities are scaled so that the largest is 100.

Peak list (10 most intense, 2θ = 10–90°, by angle)
d/Å, 2θ/deg, I/Imax
3.322, 26.84, 81
3.073, 29.06, 22
2.822, 31.70, 100
2.342, 38.44, 22
2.243, 40.20, 49
2.213, 40.77, 17
1.859, 49.00, 31
1.727, 53.02, 15
1.586, 58.15, 16
1.383, 67.76, 22

Atomic structure:
Cell lengths 12.756, 12.756, 12.756 Å; angles 159.74, 159.74, 28.80 degrees
Fractional positions:
Ba (0.115, 0.115, 0.000)
Ba (0.885, 0.885, 0.000)
Mn (0.250, 0.750, 0.500)
Mn (0.750, 0.250, 0.500)
Sb (0.000, 0.500, 0.500)
Sb (0.315, 0.315, 0.000)
Sb (0.500, 0.000, 0.500)
Sb (0.685, 0.685, 0.000)

***

Question: Which formula does entry 2 have?
Answer: BaMnSb2